# Mg2Fe3O8
Theoretical XRD peak list, copper Kα. Input: a GGA+U-relaxed structure.

Crystal structure
Cell: 5.8051 5.8051 9.3365 Å, 90.00 90.00 120.00°
Positions (direct):
Mg (0.3333, 0.6667, 0.0000)
Mg (0.3333, 0.6667, 0.3963)
Mg (0.6667, 0.3333, 0.5000)
Mg (0.6667, 0.3333, 0.8963)
Fe (0.1644, 0.3289, 0.7215)
Fe (0.1644, 0.8356, 0.7215)
Fe (0.3289, 0.1644, 0.2215)
Fe (0.6711, 0.8356, 0.7215)
Fe (0.8356, 0.1644, 0.2215)
Fe (0.8356, 0.6711, 0.2215)
O (0.0000, 0.0000, 0.3295)
O (0.0000, 0.0000, 0.8295)
O (0.0372, 0.5186, 0.8388)
O (0.1594, 0.3189, 0.1215)
O (0.1594, 0.8406, 0.1215)
O (0.3189, 0.1594, 0.6215)
O (0.3333, 0.6667, 0.6117)
O (0.4814, 0.5186, 0.8388)
O (0.4814, 0.9628, 0.8388)
O (0.5186, 0.0372, 0.3388)
O (0.5186, 0.4814, 0.3388)
O (0.6667, 0.3333, 0.1117)
O (0.6811, 0.8406, 0.1215)
O (0.8406, 0.1594, 0.6215)
O (0.8406, 0.6811, 0.6215)
O (0.9628, 0.4814, 0.3388)

Top 12 peaks for 2θ from 15° to 90°, by angle:
| d [Å] | two_theta | I_rel | h k l |
| --- | --- | --- | --- |
| 4.668 | 19.0 | 100 | 0 0 2 |
| 4.426 | 20.1 | 34 | 1 0 1 |
| 3.421 | 26.0 | 31 | 1 0 2 |
| 2.646 | 33.9 | 28 | 1 0 3 |
| 2.465 | 36.5 | 38 | 1 1 2 |
| 2.427 | 37.0 | 60 | 2 0 1 |
| 2.213 | 40.8 | 34 | 2 0 2 |
| 1.955 | 46.4 | 44 | 2 0 3 |
| 1.710 | 53.6 | 20 | 2 0 4 |
| 1.622 | 56.8 | 19 | 2 1 3 |
| 1.499 | 61.9 | 41 | 2 0 5 |
| 1.451 | 64.2 | 36 | 2 2 0 |